The following is a computed X-ray diffraction stick pattern of Os2Cl6F. It was derived from a crystal structure in Alexandria, relaxed with GGA-PBE, using Cu Kα.
Kinematic intensities with the Lorentz-polarization factor, no thermal factor.

The 8 most intense peaks (2θ from 5° to 70°), in order of rising 2θ:
d [Å], Rel. int.
7.260, 100.0
6.699, 100.0
4.098, 22.2
3.967, 19.3
3.930, 20.5
3.389, 20.0
2.560, 12.0
1.941, 11.5

Structural model:
Unit cell a=8.205 b=8.205 c=8.620 alpha=103.72 beta=103.72 gamma=109.47
Atoms (fractional coordinates):
Os  0.128  0.132  0.244
Os  0.132  0.128  0.744
Os  0.868  0.872  0.256
Os  0.872  0.868  0.756
Cl  0.040  0.201  0.996
Cl  0.114  0.393  0.730
Cl  0.201  0.040  0.496
Cl  0.256  0.431  0.404
Cl  0.393  0.114  0.230
Cl  0.431  0.256  0.904
Cl  0.569  0.744  0.096
Cl  0.607  0.886  0.770
Cl  0.744  0.569  0.596
Cl  0.799  0.960  0.504
Cl  0.886  0.607  0.270
Cl  0.960  0.799  0.004
F  0.132  0.868  0.750
F  0.868  0.132  0.250

The following is a computed X-ray diffraction stick pattern of ErPuPd. It was derived from a crystal structure in Alexandria, relaxed with GGA-PBE, using Cu Kα.
Kinematic intensities with the Lorentz-polarization factor, no thermal factor.

The 8 most intense peaks (2θ from 5° to 70°), in order of rising 2θ:
d [Å], Rel. int.
3.356, 20.1
3.007, 11.6
2.634, 100.0
2.471, 49.4
1.909, 13.2
1.747, 17.6
1.557, 12.0
1.456, 32.9

Structural model:
Unit cell a=3.494 b=3.494 c=12.029 alpha=90.00 beta=90.00 gamma=90.00
Atoms (fractional coordinates):
Er  0.000  0.000  0.000
Er  0.500  0.500  0.500
Pu  0.000  0.000  0.714
Pu  0.500  0.500  0.214
Pd  0.000  0.000  0.372
Pd  0.500  0.500  0.872

The following is a computed X-ray diffraction stick pattern of LaPr2TiN4. It was derived from a crystal structure in Alexandria, relaxed with GGA-PBE, using Cu Kα.
Kinematic intensities with the Lorentz-polarization factor, no thermal factor.

The 8 most intense peaks (2θ from 5° to 70°), in order of rising 2θ:
d [Å], Rel. int.
3.439, 67.0
3.123, 42.8
3.049, 50.4
2.986, 100.0
2.610, 39.3
2.455, 72.3
2.013, 30.3
1.825, 39.5

Structural model:
Unit cell a=6.349 b=6.349 c=12.492 alpha=90.00 beta=90.00 gamma=147.63
Atoms (fractional coordinates):
La  0.101  0.899  0.750
La  0.899  0.101  0.250
Pr  0.369  0.631  0.540
Pr  0.369  0.631  0.960
Pr  0.631  0.369  0.040
Pr  0.631  0.369  0.460
Ti  0.169  0.831  0.250
Ti  0.831  0.169  0.750
N  0.000  0.000  0.000
N  0.000  0.000  0.500
N  0.269  0.731  0.135
N  0.269  0.731  0.365
N  0.421  0.579  0.750
N  0.579  0.421  0.250
N  0.731  0.269  0.635
N  0.731  0.269  0.865